For Nd12Ho7Mg, a crystal structure in Alexandria, relaxed with PBE gives the theoretical X-ray powder pattern in this record (Cu Kα (weighted mean of Kα1 and Kα2)).
Intensities are scaled so that the largest is 1000.

abc: 9.336 9.336 9.336
angles: 107.53 107.53 107.53
Element x y z (fractional)
Nd 0.074 0.801 0.281
Nd 0.128 0.207 0.435
Nd 0.199 0.719 0.926
Nd 0.207 0.435 0.128
Nd 0.281 0.074 0.801
Nd 0.435 0.128 0.207
Nd 0.565 0.872 0.793
Nd 0.719 0.926 0.199
Nd 0.793 0.565 0.872
Nd 0.801 0.281 0.074
Nd 0.872 0.793 0.565
Nd 0.926 0.199 0.719
Ho 0.000 0.000 0.000
Ho 0.181 0.622 0.513
Ho 0.378 0.487 0.819
Ho 0.487 0.819 0.378
Ho 0.513 0.181 0.622
Ho 0.622 0.513 0.181
Ho 0.819 0.378 0.487
Mg 0.500 0.500 0.500

Peak list (10 most intense, 2θ = 15–90°, sorted by position)
2θ = 28.78°, intensity 1000
2θ = 30.30°, intensity 482
2θ = 31.15°, intensity 389
2θ = 31.43°, intensity 821
2θ = 32.60°, intensity 362
2θ = 33.47°, intensity 503
2θ = 35.58°, intensity 264
2θ = 51.31°, intensity 212
2θ = 52.27°, intensity 170
2θ = 53.10°, intensity 169

=====

For Nd5HoMg5, a crystal structure in Alexandria, relaxed with PBE gives the theoretical X-ray powder pattern in this record (Cu Kα (weighted mean of Kα1 and Kα2)).
Intensities are scaled so that the largest is 1000.

abc: 9.592 9.592 6.775
angles: 110.55 110.55 35.79
Element x y z (fractional)
Nd 0.000 0.000 0.000
Nd 0.315 0.315 0.315
Nd 0.367 0.367 0.866
Nd 0.633 0.633 0.134
Nd 0.685 0.685 0.685
Ho 0.000 0.000 0.500
Mg 0.167 0.167 0.435
Mg 0.167 0.167 0.900
Mg 0.500 0.500 0.500
Mg 0.833 0.833 0.100
Mg 0.833 0.833 0.565

Peak list (10 most intense, 2θ = 15–90°, sorted by position)
2θ = 21.78°, intensity 937
2θ = 26.31°, intensity 418
2θ = 29.09°, intensity 151
2θ = 29.44°, intensity 199
2θ = 30.33°, intensity 504
2θ = 31.64°, intensity 221
2θ = 34.41°, intensity 1000
2θ = 40.57°, intensity 278
2θ = 44.40°, intensity 173
2θ = 56.54°, intensity 240

=====

For Nd5Ho5Mg2, a crystal structure in Alexandria, relaxed with PBE gives the theoretical X-ray powder pattern in this record (Cu Kα (weighted mean of Kα1 and Kα2)).
Intensities are scaled so that the largest is 1000.

abc: 8.015 8.015 11.061
angles: 115.71 115.71 36.87
Element x y z (fractional)
Nd 0.000 0.000 0.000
Nd 0.080 0.080 0.745
Nd 0.252 0.252 0.259
Nd 0.748 0.748 0.741
Nd 0.920 0.920 0.255
Ho 0.333 0.333 0.002
Ho 0.414 0.414 0.741
Ho 0.500 0.500 0.500
Ho 0.586 0.586 0.259
Ho 0.667 0.667 0.998
Mg 0.167 0.167 0.499
Mg 0.833 0.833 0.501

Peak list (10 most intense, 2θ = 15–90°, sorted by position)
2θ = 30.87°, intensity 1000
2θ = 35.42°, intensity 350
2θ = 36.55°, intensity 171
2θ = 50.96°, intensity 125
2θ = 51.80°, intensity 236
2θ = 60.77°, intensity 290
2θ = 62.28°, intensity 130
2θ = 64.32°, intensity 122
2θ = 83.21°, intensity 60
2θ = 84.52°, intensity 84